For Ba2MgSn2, a structure optimized by DFT (GGA-PBE) gives the calculated X-ray powder pattern in this record (a wavelength of 1.5418 Å).
Lines closer than 0.1° are merged.

Most intense lines, 15 to 90 degrees two-theta, in order of rising 2θ:
| d (Å) | two_theta | I/Imax |
| --- | --- | --- |
| 5.782 | 15.32 | 19 |
| 3.272 | 27.25 | 9 |
| 3.038 | 29.40 | 100 |
| 2.729 | 32.81 | 19 |
| 2.586 | 34.69 | 19 |
| 1.877 | 48.50 | 15 |
| 1.864 | 48.86 | 9 |
| 1.629 | 56.49 | 16 |
| 1.574 | 58.64 | 8 |
| 1.463 | 63.60 | 13 |

Cell and atoms:
```
data_Ba2MgSn2
_chemical_formula_sum 'Ba4 Mg2 Sn4'
_space_group_name_H-M_alt 'P 4/m b m'
_space_group_IT_number 127
_space_group_name_Hall '-P 4 2ab'
_cell_length_a 8.177
_cell_length_b 8.177
_cell_length_c 5.459
_cell_angle_alpha 90.00
_cell_angle_beta 90.00
_cell_angle_gamma 90.00
loop_
_atom_site_label
_atom_site_type_symbol
_atom_site_fract_x
_atom_site_fract_y
_atom_site_fract_z
Ba1 Ba 0.167 0.333 0.000
Mg1 Mg 0.000 0.000 0.500
Sn1 Sn 0.131 0.631 0.500
```